[1]
Structure and calculated X-ray diffraction stick pattern of Al2Ru3 (a DFT-relaxed cell (PBE, Alexandria); copper Kα).

Cell and atoms:
a b c (Å): 7.9040 7.0308 5.0021
angles (deg): 80.19 61.23 38.58
Sites, in units of the cell vectors:
Al  0.0718  0.0718  0.6782
Al  0.3218  0.3218  0.9282
Al  0.6782  0.6782  0.0718
Al  0.9282  0.9282  0.3218
Ru  0.1250  0.1250  0.1250
Ru  0.2770  0.2770  0.4730
Ru  0.4730  0.4730  0.2770
Ru  0.5270  0.5270  0.7230
Ru  0.7230  0.7230  0.5270
Ru  0.8750  0.8750  0.8750

Principal peaks in the range 10° ≤ 2θ ≤ 90°, in order of rising 2θ:
| 2θ (°) | intensity |
| --- | --- |
| 24.47 | 47.7 |
| 29.17 | 23.8 |
| 40.20 | 100.0 |
| 41.40 | 46.1 |
| 42.35 | 86.4 |
| 50.29 | 51.6 |

***

[2]
Structure and calculated X-ray diffraction stick pattern of CoNi3Te3 (a DFT-relaxed cell (PBE, Alexandria); copper Kα).

Cell and atoms:
a b c (Å): 8.3221 8.3221 10.3759
angles (deg): 90.00 90.00 42.31
Sites, in units of the cell vectors:
Co  0.0802  0.0802  0.0000
Co  0.4198  0.4198  0.5000
Co  0.5802  0.5802  0.5000
Co  0.9198  0.9198  0.0000
Ni  0.0202  0.2885  0.6069
Ni  0.1466  0.8534  0.5976
Ni  0.2115  0.4798  0.8931
Ni  0.2885  0.0202  0.3931
Ni  0.3534  0.6466  0.0976
Ni  0.4798  0.2115  0.1069
Ni  0.5202  0.7885  0.8931
Ni  0.6466  0.3534  0.9024
Ni  0.7115  0.9798  0.6069
Ni  0.7885  0.5202  0.1069
Ni  0.8534  0.1466  0.4024
Ni  0.9798  0.7115  0.3931
Te  0.0467  0.5996  0.1319
Te  0.0996  0.5467  0.6319
Te  0.2376  0.7624  0.8438
Te  0.2624  0.7376  0.3438
Te  0.4004  0.9533  0.1319
Te  0.4533  0.9004  0.6319
Te  0.5467  0.0996  0.3681
Te  0.5996  0.0467  0.8681
Te  0.7376  0.2624  0.6562
Te  0.7624  0.2376  0.1562
Te  0.9004  0.4533  0.3681
Te  0.9533  0.4004  0.8681

Principal peaks in the range 10° ≤ 2θ ≤ 90°, in order of rising 2θ:
| 2θ (°) | intensity |
| --- | --- |
| 28.54 | 96.5 |
| 34.57 | 72.0 |
| 34.67 | 72.9 |
| 46.29 | 100.0 |
| 49.78 | 64.1 |
| 52.05 | 69.8 |

***

[3]
Structure and calculated X-ray diffraction stick pattern of AcCeEr2Bi4 (a DFT-relaxed cell (PBE, Alexandria); copper Kα).

Cell and atoms:
a b c (Å): 7.9464 4.6090 7.9817
angles (deg): 90.00 109.52 90.00
Sites, in units of the cell vectors:
Ac  0.0000  0.0000  0.0000
Ce  0.0000  0.5000  0.5000
Er  0.5000  0.0000  0.5000
Er  0.5000  0.5000  0.0000
Bi  0.2647  0.0000  0.7478
Bi  0.2698  0.5000  0.2640
Bi  0.7302  0.5000  0.7360
Bi  0.7353  0.0000  0.2522

Principal peaks in the range 10° ≤ 2θ ≤ 90°, in order of rising 2θ:
| 2θ (°) | intensity |
| --- | --- |
| 27.41 | 100.0 |
| 39.09 | 40.0 |
| 39.22 | 38.0 |
| 48.41 | 21.6 |
| 63.90 | 19.0 |
| 64.08 | 17.3 |

***

[4]
Structure and calculated X-ray diffraction stick pattern of Zn3CuPd4 (a DFT-relaxed cell (PBE, Alexandria); copper Kα).

Cell and atoms:
a b c (Å): 6.7382 6.7382 6.7382
angles (deg): 142.18 142.18 54.56
Sites, in units of the cell vectors:
Zn  0.0000  0.0000  0.0000
Zn  0.2525  0.2525  0.0000
Zn  0.7475  0.7475  0.0000
Cu  0.5000  0.5000  0.0000
Pd  0.1249  0.6249  0.5000
Pd  0.3751  0.8751  0.5000
Pd  0.6249  0.1249  0.5000
Pd  0.8751  0.3751  0.5000

Principal peaks in the range 10° ≤ 2θ ≤ 90°, in order of rising 2θ:
| 2θ (°) | intensity |
| --- | --- |
| 41.34 | 52.5 |
| 42.03 | 100.0 |
| 59.90 | 16.9 |
| 61.98 | 7.6 |
| 75.85 | 32.7 |
| 77.26 | 15.5 |